# SrNpGa2Br8
Theoretical XRD peak list, Cu Kα, 1.54184 Å. Input: a crystal structure in Alexandria, relaxed with PBE.
Kinematic intensities with the Lorentz-polarization factor, no thermal factor.

Peak list (10 most intense, 10 to 90 degrees two-theta, in order of rising 2θ)
| two_theta | I (rel.) | index |
| --- | --- | --- |
| 17.2 | 81 | 1 0 -1 |
| 17.9 | 58 | 1 0 1 |
| 23.5 | 46 | 1 2 0 |
| 26.3 | 100 | 1 2 -1 |
| 28.0 | 46 | 1 0 2 |
| 34.3 | 79 | 2 2 -1 |
| 35.1 | 48 | 2 2 1 |
| 36.2 | 33 | 2 0 2 |
| 40.2 | 38 | 0 4 0 |
| 42.3 | 72 | 0 2 3 |

Structural model:
```
SrNpGa2Br8
1.0
7.022 0.000 0.000
0.000 8.972 0.000
-0.298 0.000 7.294
Sr Np Ga Br
1 1 2 8
Direct
0.000 0.000 0.000
0.000 0.500 0.000
0.500 0.237 0.500
0.500 0.763 0.500
0.223 0.271 0.851
0.223 0.729 0.851
0.230 0.500 0.310
0.271 0.000 0.337
0.729 0.000 0.663
0.770 0.500 0.690
0.777 0.271 0.149
0.777 0.729 0.149
```